Entry 1:
Ac2TmTe5: simulated X-ray diffraction stick pattern (a wavelength of 1.5418 Å), based on a crystal structure in Alexandria, relaxed with GGA-PBE.

The 8 most intense peaks (2θ from 15° to 90°), sorted by position:
4.075 Å, intensity 61
3.434 Å, intensity 82
2.887 Å, intensity 63
2.844 Å, intensity 100
2.724 Å, intensity 75
2.480 Å, intensity 80
2.407 Å, intensity 76
2.039 Å, intensity 65

Structure:
Cell lengths 6.250, 7.826, 8.732 Å; angles 116.52, 110.95, 90.05 degrees
Atoms (fractional coordinates):
Ac (0.000, 0.000, 0.000)
Ac (0.335, 0.336, 0.671)
Tm (0.668, 0.038, 0.336)
Te (0.167, 0.881, 0.336)
Te (0.422, 0.375, 0.335)
Te (0.456, 0.826, 0.912)
Te (0.880, 0.251, 0.760)
Te (0.913, 0.375, 0.335)

---

Entry 2:
Sm6In3Au: simulated X-ray diffraction stick pattern (a wavelength of 1.5418 Å), based on a crystal structure in Alexandria, relaxed with GGA-PBE.

The 8 most intense peaks (2θ from 15° to 90°), sorted by position:
3.038 Å, intensity 100
2.676 Å, intensity 99
2.658 Å, intensity 49
2.530 Å, intensity 58
2.013 Å, intensity 17
2.002 Å, intensity 19
1.609 Å, intensity 19
1.538 Å, intensity 18

Structure:
Cell lengths 9.291, 12.090, 5.317 Å; angles 90.00, 90.00, 90.00 degrees
Atoms (fractional coordinates):
Sm (0.007, 0.243, 0.000)
Sm (0.162, 0.087, 0.500)
Sm (0.176, 0.411, 0.500)
Sm (0.324, 0.911, 0.000)
Sm (0.338, 0.587, 0.000)
Sm (0.493, 0.743, 0.500)
Sm (0.507, 0.257, 0.500)
Sm (0.662, 0.413, 0.000)
Sm (0.676, 0.089, 0.000)
Sm (0.824, 0.589, 0.500)
Sm (0.838, 0.913, 0.500)
Sm (0.993, 0.757, 0.000)
In (0.000, 0.500, 0.000)
In (0.160, 0.730, 0.500)
In (0.340, 0.230, 0.000)
In (0.500, 0.000, 0.500)
In (0.660, 0.770, 0.000)
In (0.840, 0.270, 0.500)
Au (0.000, 0.000, 0.000)
Au (0.500, 0.500, 0.500)

---

Entry 3:
Pm8PrY3: simulated X-ray diffraction stick pattern (a wavelength of 1.5418 Å), based on a crystal structure in Alexandria, relaxed with GGA-PBE.

The 8 most intense peaks (2θ from 15° to 90°), sorted by position:
5.728 Å, intensity 35
2.903 Å, intensity 37
2.872 Å, intensity 100
2.568 Å, intensity 54
1.813 Å, intensity 23
1.670 Å, intensity 18
1.653 Å, intensity 20
1.437 Å, intensity 25

Structure:
Cell lengths 8.802, 8.802, 8.802 Å; angles 135.92, 98.74, 97.46 degrees
Atoms (fractional coordinates):
Pm (0.083, 0.249, 0.834)
Pm (0.241, 0.258, 0.498)
Pm (0.241, 0.742, 0.983)
Pm (0.415, 0.249, 0.166)
Pm (0.585, 0.751, 0.834)
Pm (0.759, 0.258, 0.017)
Pm (0.759, 0.742, 0.502)
Pm (0.917, 0.751, 0.166)
Pr (0.500, 0.500, 0.000)
Y (0.000, 0.000, 0.000)
Y (0.238, 0.738, 0.500)
Y (0.762, 0.262, 0.500)

---

Entry 4:
SmGa4Pd4: simulated X-ray diffraction stick pattern (a wavelength of 1.5418 Å), based on a crystal structure in Alexandria, relaxed with GGA-PBE.

The 8 most intense peaks (2θ from 15° to 90°), sorted by position:
3.055 Å, intensity 25
2.609 Å, intensity 100
2.600 Å, intensity 38
2.164 Å, intensity 25
2.094 Å, intensity 35
1.664 Å, intensity 34
1.527 Å, intensity 19
1.127 Å, intensity 22

Structure:
Cell lengths 6.121, 6.121, 8.615 Å; angles 90.00, 90.00, 90.00 degrees
Atoms (fractional coordinates):
Sm (0.250, 0.750, 0.250)
Sm (0.750, 0.250, 0.750)
Ga (0.041, 0.250, 0.066)
Ga (0.250, 0.041, 0.566)
Ga (0.250, 0.459, 0.566)
Ga (0.459, 0.250, 0.066)
Ga (0.541, 0.750, 0.934)
Ga (0.750, 0.541, 0.434)
Ga (0.750, 0.959, 0.434)
Ga (0.959, 0.750, 0.934)
Pd (0.020, 0.250, 0.361)
Pd (0.250, 0.020, 0.861)
Pd (0.250, 0.480, 0.861)
Pd (0.480, 0.250, 0.361)
Pd (0.520, 0.750, 0.639)
Pd (0.750, 0.520, 0.139)
Pd (0.750, 0.980, 0.139)
Pd (0.980, 0.750, 0.639)

---

Entry 5:
KCoNiCl5: simulated X-ray diffraction stick pattern (a wavelength of 1.5418 Å), based on a crystal structure in Alexandria, relaxed with GGA-PBE.

The 8 most intense peaks (2θ from 15° to 90°), sorted by position:
4.070 Å, intensity 100
3.956 Å, intensity 79
3.392 Å, intensity 83
3.309 Å, intensity 54
2.969 Å, intensity 71
2.659 Å, intensity 37
2.158 Å, intensity 47
1.800 Å, intensity 34

Structure:
Cell lengths 7.070, 7.070, 8.828 Å; angles 103.15, 103.15, 105.69 degrees
Atoms (fractional coordinates):
K (0.155, 0.845, 0.750)
K (0.845, 0.155, 0.250)
Co (0.190, 0.810, 0.250)
Co (0.810, 0.190, 0.750)
Ni (0.500, 0.500, 0.000)
Ni (0.500, 0.500, 0.500)
Cl (0.117, 0.270, 0.938)
Cl (0.195, 0.584, 0.393)
Cl (0.270, 0.117, 0.438)
Cl (0.416, 0.805, 0.107)
Cl (0.429, 0.571, 0.750)
Cl (0.571, 0.429, 0.250)
Cl (0.584, 0.195, 0.893)
Cl (0.730, 0.883, 0.562)
Cl (0.805, 0.416, 0.607)
Cl (0.883, 0.730, 0.062)

---

Entry 6:
Sr4BiTeBr2: simulated X-ray diffraction stick pattern (a wavelength of 1.5418 Å), based on a crystal structure in Alexandria, relaxed with GGA-PBE.

The 8 most intense peaks (2θ from 15° to 90°), sorted by position:
3.331 Å, intensity 100
2.404 Å, intensity 14
2.396 Å, intensity 27
2.314 Å, intensity 37
1.948 Å, intensity 15
1.510 Å, intensity 13
1.468 Å, intensity 11
1.367 Å, intensity 9

Structure:
Cell lengths 7.929, 4.807, 8.291 Å; angles 90.00, 110.39, 90.00 degrees
Atoms (fractional coordinates):
Sr (0.240, 0.000, 0.243)
Sr (0.242, 0.500, 0.750)
Sr (0.758, 0.500, 0.250)
Sr (0.760, 0.000, 0.757)
Bi (0.000, 0.500, 0.000)
Te (0.000, 0.000, 0.500)
Br (0.500, 0.000, 0.000)
Br (0.500, 0.500, 0.500)